[1]
The following is a simulated powder diffraction line list of Ac2Tl2Ag3. It was derived from a structure optimized by DFT (GGA-PBE), using Cu Kα X-rays.

Principal peaks in the range 10 to 90 degrees two-theta, by angle:
2θ = 25.33°, I = 30.8, hkl 1 1 1
2θ = 27.40°, I = 17.0, hkl 0 0 2
2θ = 28.73°, I = 54.1, hkl 3 1 -1
2θ = 29.21°, I = 17.1, hkl 4 0 -1
2θ = 31.40°, I = 34.4, hkl 1 1 -2
2θ = 33.50°, I = 11.2, hkl 4 0 -2
2θ = 34.25°, I = 11.6, hkl 3 1 -2
2θ = 36.01°, I = 100.0, hkl 0 2 0
2θ = 42.38°, I = 10.2, hkl 4 0 -3
2θ = 56.17°, I = 19.9, hkl 7 1 -2
2θ = 63.29°, I = 10.2, hkl 1 1 4
2θ = 64.73°, I = 9.5, hkl 3 3 1

```
data_Ac2Tl2Ag3
_space_group_name_H-M_alt 'C 1 2/m 1'
_space_group_IT_number 12
_space_group_name_Hall '-C 2y'
_cell_length_a 12.283
_cell_length_b 4.986
_cell_length_c 6.963
_cell_angle_alpha 90.00
_cell_angle_beta 110.77
_cell_angle_gamma 90.00
loop_
_atom_site_label
_atom_site_fract_x
_atom_site_fract_y
_atom_site_fract_z
Ac1 0.112 0.000 0.324
Tl1 0.114 0.500 0.701
Ag1 0.000 0.500 0.000
Ag2 0.242 0.000 0.846
```

=====

[2]
The following is a simulated powder diffraction line list of AcTl3Ag. It was derived from a structure optimized by DFT (GGA-PBE), using Cu Kα X-rays.

Principal peaks in the range 10 to 90 degrees two-theta, by angle:
2θ = 27.88°, I = 15.6, hkl 3 0 1
2θ = 29.65°, I = 75.1, hkl 2 1 2
2θ = 30.37°, I = 100.0, hkl 1 1 3
2θ = 33.43°, I = 59.5, hkl 3 1 1
2θ = 36.60°, I = 51.2, hkl 0 2 0
2θ = 39.01°, I = 26.8, hkl 1 0 5
2θ = 39.21°, I = 14.4, hkl 4 0 2
2θ = 39.89°, I = 18.3, hkl 3 1 3
2θ = 51.36°, I = 20.0, hkl 4 1 4
2θ = 54.56°, I = 20.6, hkl 1 2 5
2θ = 62.08°, I = 13.4, hkl 1 3 3
2θ = 63.88°, I = 16.6, hkl 3 3 1

```
data_AcTl3Ag
_space_group_name_H-M_alt 'P n m a'
_space_group_IT_number 62
_space_group_name_Hall '-P 2ac 2n'
_cell_length_a 9.969
_cell_length_b 4.909
_cell_length_c 11.868
_cell_angle_alpha 90.00
_cell_angle_beta 90.00
_cell_angle_gamma 90.00
loop_
_atom_site_label
_atom_site_fract_x
_atom_site_fract_y
_atom_site_fract_z
Ac1 0.204 0.250 0.002
Tl1 0.070 0.250 0.600
Tl2 0.114 0.750 0.806
Tl3 0.125 0.750 0.196
Ag1 0.103 0.250 0.355
```

=====

[3]
The following is a simulated powder diffraction line list of AcTmTlAg. It was derived from a structure optimized by DFT (GGA-PBE), using Cu Kα X-rays.

Principal peaks in the range 10 to 90 degrees two-theta, by angle:
2θ = 26.08°, I = 11.7, hkl 1 0 1
2θ = 32.51°, I = 100.0, hkl 1 0 2
2θ = 33.60°, I = 51.2, hkl 1 1 0
2θ = 44.97°, I = 7.3, hkl 0 0 4
2θ = 48.06°, I = 7.8, hkl 1 1 3
2θ = 48.26°, I = 18.7, hkl 2 0 0
2θ = 57.29°, I = 14.4, hkl 1 1 4
2θ = 59.40°, I = 36.2, hkl 2 1 2
2θ = 62.66°, I = 6.5, hkl 1 0 5
2θ = 68.09°, I = 8.6, hkl 2 0 4
2θ = 79.93°, I = 9.0, hkl 3 0 2
2θ = 80.54°, I = 8.5, hkl 3 1 0

```
data_AcTmTlAg
_space_group_name_H-M_alt 'P 4 m m'
_space_group_IT_number 99
_space_group_name_Hall 'P 4 -2'
_cell_length_a 3.772
_cell_length_b 3.772
_cell_length_c 8.063
_cell_angle_alpha 90.00
_cell_angle_beta 90.00
_cell_angle_gamma 90.00
loop_
_atom_site_label
_atom_site_fract_x
_atom_site_fract_y
_atom_site_fract_z
Ac1 0.000 0.000 0.000
Tm1 0.000 0.000 0.470
Tl1 0.500 0.500 0.708
Ag1 0.500 0.500 0.282
```